Record 1
Structure and simulated powder X-ray diffraction pattern of KCoMoCl6 (DFT lattice parameters and positions (PBE); Cu Kα X-rays).

Top 10 peaks for 10 to 80 degrees two-theta, in order of rising 2θ:
hkl 0 0 1, 12.54°, d 7.059, I = 100.0
hkl 1 1 0, 15.99°, d 5.543, I = 24.5
hkl 0 2 1, 20.37°, d 4.360, I = 95.9
hkl 2 0 -1, 30.67°, d 2.915, I = 67.2
hkl 0 4 1, 34.77°, d 2.580, I = 14.8
hkl 1 3 2, 37.95°, d 2.371, I = 87.9
hkl 3 1 -1, 45.14°, d 2.009, I = 21.8
hkl 1 3 -3, 47.96°, d 1.897, I = 18.0
hkl 0 6 0, 49.32°, d 1.848, I = 32.6
hkl 2 6 -2, 63.82°, d 1.458, I = 11.2

Cell and atoms:
Unit cell a=6.3938 b=11.0991 c=7.0585 alpha=90.00 beta=90.16 gamma=90.00
Space group C2 (No. 5)
One atom of each set of equivalent atoms:
K1 0.0000 0.0000 0.0000 (multiplicity 2)
Co1 0.0000 0.6668 0.5000 (multiplicity 2)
Mo1 0.0000 0.3338 0.5000 (multiplicity 2)
Cl1 0.1272 0.4998 0.6997 (multiplicity 4)
Cl2 0.1833 0.1842 0.6971 (multiplicity 4)
Cl3 0.1837 0.8166 0.6957 (multiplicity 4)

---

Record 2
Structure and simulated powder X-ray diffraction pattern of Fe2Ni4Ir (DFT lattice parameters and positions (PBE); Cu Kα X-rays).

Top 10 peaks for 10 to 80 degrees two-theta, in order of rising 2θ:
hkl 0 1 0, 23.22°, d 3.830, I = 56.3
hkl 1 0 1, 32.51°, d 2.754, I = 53.2
hkl 1 -1 2, 40.73°, d 2.215, I = 45.7
hkl 1 -2 1, 41.97°, d 2.153, I = 63.6
hkl 2 -1 0, 44.06°, d 2.055, I = 57.2
hkl -1 1 2, 44.25°, d 2.047, I = 100.0
hkl 1 1 -2, 44.39°, d 2.041, I = 71.1
hkl 1 0 2, 46.41°, d 1.957, I = 49.4
hkl 0 2 0, 47.47°, d 1.915, I = 57.0
hkl 0 1 -3, 49.51°, d 1.841, I = 62.5

Cell and atoms:
Unit cell a=4.1314 b=4.4187 c=5.6096 alpha=104.51 beta=95.30 gamma=113.95
Space group P-1 (No. 2)
One atom of each set of equivalent atoms:
Fe1 0.2353 0.0417 0.3498 (multiplicity 2)
Ni1 0.0000 0.5000 0.0000 (multiplicity 1)
Ni2 0.4539 0.4050 0.7687 (multiplicity 2)
Ni3 0.5000 0.0000 0.0000 (multiplicity 1)
Ir1 0.0000 0.5000 0.5000 (multiplicity 1)

---

Repeat the first record exactly.
Structure and simulated powder X-ray diffraction pattern of KCoMoCl6 (DFT lattice parameters and positions (PBE); Cu Kα X-rays).

Top 10 peaks for 10 to 80 degrees two-theta, in order of rising 2θ:
hkl 0 0 1, 12.54°, d 7.059, I = 100.0
hkl 1 1 0, 15.99°, d 5.543, I = 24.5
hkl 0 2 1, 20.37°, d 4.360, I = 95.9
hkl 2 0 -1, 30.67°, d 2.915, I = 67.2
hkl 0 4 1, 34.77°, d 2.580, I = 14.8
hkl 1 3 2, 37.95°, d 2.371, I = 87.9
hkl 3 1 -1, 45.14°, d 2.009, I = 21.8
hkl 1 3 -3, 47.96°, d 1.897, I = 18.0
hkl 0 6 0, 49.32°, d 1.848, I = 32.6
hkl 2 6 -2, 63.82°, d 1.458, I = 11.2

Cell and atoms:
Unit cell a=6.3938 b=11.0991 c=7.0585 alpha=90.00 beta=90.16 gamma=90.00
Space group C2 (No. 5)
One atom of each set of equivalent atoms:
K1 0.0000 0.0000 0.0000 (multiplicity 2)
Co1 0.0000 0.6668 0.5000 (multiplicity 2)
Mo1 0.0000 0.3338 0.5000 (multiplicity 2)
Cl1 0.1272 0.4998 0.6997 (multiplicity 4)
Cl2 0.1833 0.1842 0.6971 (multiplicity 4)
Cl3 0.1837 0.8166 0.6957 (multiplicity 4)